This entry pairs a crystal structure of LiFeF4 with its theoretical powder diffraction line list. Radiation: a wavelength of 1.5418 Å. Structure: a cell relaxed with GGA+U.
Neutral-atom scattering factors, no anomalous dispersion.

Largest 10 diffraction maxima, most intense first, 15° ≤ 2θ ≤ 90°:
| 2θ (°) | I_rel |
| --- | --- |
| 16.79 | 1000 |
| 23.83 | 751 |
| 23.36 | 292 |
| 46.29 | 268 |
| 42.24 | 258 |
| 29.33 | 235 |
| 43.29 | 230 |
| 55.31 | 205 |
| 26.57 | 205 |
| 28.47 | 190 |

Atomic structure:
```
LiFeF4
1.0
6.4193 -1.9614 0.0000
6.4193 1.9614 0.0000
-2.0882 0.0000 6.2708
Li Fe F
2 2 8
Cartesian
1.8418 0.0000 1.8804 Li
8.9085 0.0000 4.3903 Li
-0.0766 0.0000 4.4309 Fe
10.8269 0.0000 1.8399 Fe
-0.0964 0.0000 2.3370 F
-0.2679 0.0000 6.2624 F
1.8394 0.0000 4.1219 F
4.2600 0.0000 1.9351 F
6.4903 0.0000 4.3357 F
8.9109 0.0000 2.1488 F
11.0182 0.0000 0.0083 F
10.8467 0.0000 3.9337 F
```